1.
# OsBr3Cl
Simulated powder X-ray diffraction pattern, copper Kα. Input: a crystal structure in Alexandria, relaxed with PBE.

Crystal structure
```
OsBr3Cl
1.0
3.8521 -7.6645 0.0000
3.8521 7.6645 0.0000
-3.1980 0.0000 5.5878
Os Br Cl
2 6 2
Direct
0.0656 0.9344 0.5000
0.9344 0.0656 0.0000
0.0536 0.3997 0.9903
0.1477 0.2609 0.4492
0.2609 0.1477 0.9492
0.3997 0.0536 0.4903
0.7384 0.8523 0.5494
0.8523 0.7384 0.0494
0.6202 0.9518 0.0079
0.9518 0.6202 0.5079
```

Peak list (12 most intense, 2θ = 10–90°, by angle)
2theta  I (rel.)
11.55  55
14.45  100
15.87  15
19.66  18
22.86  22
26.03  13
32.04  32
33.08  54
41.16  16
44.64  22
47.49  17
48.72  18

---

2.
# Pr8Os3Br3Cl
Simulated powder X-ray diffraction pattern, copper Kα. Input: a crystal structure in Alexandria, relaxed with PBE.

Crystal structure
```
Pr8Os3Br3Cl
1.0
4.2745 2.4679 7.4136
-4.2745 2.4679 7.4136
0.0000 -4.9357 7.4136
Pr Os Br Cl
8 3 3 1
Direct
0.2069 0.7514 0.7514
0.2342 0.2342 0.2342
0.2486 0.2486 0.7931
0.2486 0.7931 0.2486
0.7514 0.2069 0.7514
0.7514 0.7514 0.2069
0.7658 0.7658 0.7658
0.7931 0.2486 0.2486
0.0000 0.0000 0.5000
0.0000 0.5000 0.0000
0.5000 0.0000 0.0000
0.0000 0.5000 0.5000
0.5000 0.0000 0.5000
0.5000 0.5000 0.0000
0.5000 0.5000 0.5000
```

Peak list (12 most intense, 2θ = 10–90°, by angle)
2theta  I (rel.)
11.94  30
14.37  9
28.98  100
37.30  14
40.58  32
42.29  37
51.50  9
52.08  18
60.05  9
66.81  10
69.25  14
76.17  9

---

3.
# Rb2OsBr5Cl
Simulated powder X-ray diffraction pattern, copper Kα. Input: a crystal structure in Alexandria, relaxed with PBE.

Crystal structure
```
Rb2OsBr5Cl
1.0
-3.7727 3.7727 5.2778
3.7727 -3.7727 5.2778
3.7727 3.7727 -5.2778
Rb Os Br Cl
2 1 5 1
Direct
0.0000 0.5000 0.5000
0.5000 0.0000 0.5000
0.2497 0.2497 0.0000
0.0142 0.0142 0.5288
0.0142 0.4853 0.0000
0.4853 0.0142 0.0000
0.4853 0.4853 0.4712
0.4866 0.4866 0.0000
0.0267 0.0267 0.0000
```

Peak list (12 most intense, 2θ = 10–90°, by angle)
2theta  I (rel.)
14.43  100
16.80  17
23.71  35
27.76  24
29.09  65
33.59  76
33.97  37
44.12  19
48.24  26
48.53  51
57.33  16
60.31  26

---

What is the formula in the first record?
OsBr3Cl